# Pm2Pr2Er3
Simulated X-ray diffraction stick pattern, copper Kα. Input: a crystal structure in Alexandria, relaxed with PBE.
Intensities are scaled so that the largest is 100.

Atomic structure:
a b c (Å): 6.1972 13.0054 6.3477
angles (deg): 90.00 111.86 90.00
Fractional coordinates of all 14 atoms:
Pm1 0.0930 0.1776 0.3753
Pm2 0.0930 0.3224 0.8753
Pm3 0.9070 0.6776 0.1247
Pm4 0.9070 0.8224 0.6247
Pr1 0.3983 0.7092 0.6294
Pr2 0.3983 0.7908 0.1294
Pr3 0.6017 0.2092 0.8706
Pr4 0.6017 0.2908 0.3706
Er1 0.1679 0.0504 0.8834
Er2 0.1679 0.4496 0.3834
Er3 0.5000 0.0000 0.5000
Er4 0.5000 0.5000 0.0000
Er5 0.8321 0.5504 0.6166
Er6 0.8321 0.9496 0.1166

Largest 10 diffraction maxima, most intense first, 10 to 90 degrees two-theta:
- d = 2.756 Å, 2θ 32.5, rel. 100.0
- d = 2.729 Å, 2θ 32.8, rel. 96.5
- d = 2.873 Å, 2θ 31.1, rel. 70.0
- d = 2.808 Å, 2θ 31.9, rel. 54.2
- d = 2.828 Å, 2θ 31.6, rel. 44.0
- d = 2.992 Å, 2θ 29.9, rel. 37.3
- d = 2.597 Å, 2θ 34.5, rel. 28.7
- d = 3.462 Å, 2θ 25.7, rel. 27.5
- d = 1.472 Å, 2θ 63.1, rel. 18.6
- d = 1.757 Å, 2θ 52.1, rel. 18.1

# Zr4GaFe
Simulated X-ray diffraction stick pattern, copper Kα. Input: a crystal structure in Alexandria, relaxed with PBE.
Intensities are scaled so that the largest is 100.

Atomic structure:
a b c (Å): 6.5275 6.5275 5.5723
angles (deg): 90.00 90.00 90.00
Fractional coordinates of all 12 atoms:
Zr1 0.1516 0.3198 0.0000
Zr2 0.1516 0.6802 0.5000
Zr3 0.3198 0.1516 0.5000
Zr4 0.3198 0.8484 0.0000
Zr5 0.6802 0.1516 0.0000
Zr6 0.6802 0.8484 0.5000
Zr7 0.8484 0.3198 0.5000
Zr8 0.8484 0.6802 0.0000
Ga1 0.5000 0.5000 0.2500
Ga2 0.5000 0.5000 0.7500
Fe1 0.0000 0.0000 0.2500
Fe2 0.0000 0.0000 0.7500

Largest 10 diffraction maxima, most intense first, 10 to 90 degrees two-theta:
- d = 2.586 Å, 2θ 34.7, rel. 100.0
- d = 2.119 Å, 2θ 42.7, rel. 35.6
- d = 2.064 Å, 2θ 43.9, rel. 32.8
- d = 2.385 Å, 2θ 37.7, rel. 26.2
- d = 1.567 Å, 2θ 58.9, rel. 20.7
- d = 1.347 Å, 2θ 69.8, rel. 18.2
- d = 1.523 Å, 2θ 60.8, rel. 15.9
- d = 2.786 Å, 2θ 32.1, rel. 11.7
- d = 2.308 Å, 2θ 39.0, rel. 10.5
- d = 1.155 Å, 2θ 83.8, rel. 10.1

# KTlHg2F6
Simulated X-ray diffraction stick pattern, copper Kα. Input: a crystal structure in Alexandria, relaxed with PBE.
Intensities are scaled so that the largest is 100.

Atomic structure:
a b c (Å): 7.4471 7.4471 6.5208
angles (deg): 91.05 91.05 75.96
Fractional coordinates of all 20 atoms:
K1 0.1652 0.8348 0.7500
K2 0.8348 0.1652 0.2500
Tl1 0.3404 0.6596 0.2500
Tl2 0.6596 0.3404 0.7500
Hg1 0.1844 0.3047 0.8648
Hg2 0.3047 0.1844 0.3648
Hg3 0.6953 0.8156 0.6352
Hg4 0.8156 0.6953 0.1352
F1 0.0512 0.1800 0.5843
F2 0.0548 0.4229 0.1891
F3 0.1800 0.0512 0.0843
F4 0.3267 0.4426 0.5954
F5 0.4229 0.0548 0.6891
F6 0.4426 0.3267 0.0954
F7 0.5574 0.6733 0.9046
F8 0.5771 0.9452 0.3109
F9 0.6733 0.5574 0.4046
F10 0.8200 0.9488 0.9157
F11 0.9452 0.5771 0.8109
F12 0.9488 0.8200 0.4157

Largest 10 diffraction maxima, most intense first, 10 to 90 degrees two-theta:
- d = 3.610 Å, 2θ 24.7, rel. 100.0
- d = 3.140 Å, 2θ 28.4, rel. 78.5
- d = 2.956 Å, 2θ 30.2, rel. 76.2
- d = 2.934 Å, 2θ 30.5, rel. 72.7
- d = 3.179 Å, 2θ 28.1, rel. 72.4
- d = 4.874 Å, 2θ 18.2, rel. 71.1
- d = 2.162 Å, 2θ 41.8, rel. 67.2
- d = 2.442 Å, 2θ 36.8, rel. 65.0
- d = 1.746 Å, 2θ 52.4, rel. 36.8
- d = 5.868 Å, 2θ 15.1, rel. 36.5

# KBaZnS2
Simulated X-ray diffraction stick pattern, copper Kα. Input: a crystal structure in Alexandria, relaxed with PBE.
Intensities are scaled so that the largest is 100.

Atomic structure:
a b c (Å): 7.5308 5.0416 8.4536
angles (deg): 90.00 102.16 90.00
Fractional coordinates of all 10 atoms:
K1 0.0000 0.0241 0.2500
K2 0.0000 0.9759 0.7500
Ba1 0.5000 0.2803 0.7500
Ba2 0.5000 0.7197 0.2500
Zn1 0.0000 0.5000 0.0000
Zn2 0.0000 0.5000 0.5000
S1 0.2752 0.2480 0.0397
S2 0.2752 0.7520 0.5397
S3 0.7248 0.2480 0.4603
S4 0.7248 0.7520 0.9603

Largest 10 diffraction maxima, most intense first, 10 to 90 degrees two-theta:
- d = 3.550 Å, 2θ 25.1, rel. 100.0
- d = 3.979 Å, 2θ 22.3, rel. 56.7
- d = 2.385 Å, 2θ 37.7, rel. 50.3
- d = 4.304 Å, 2θ 20.6, rel. 44.4
- d = 3.681 Å, 2θ 24.2, rel. 44.0
- d = 3.123 Å, 2θ 28.6, rel. 34.1
- d = 2.240 Å, 2θ 40.3, rel. 33.2
- d = 2.434 Å, 2θ 36.9, rel. 32.6
- d = 2.657 Å, 2θ 33.7, rel. 29.3
- d = 2.417 Å, 2θ 37.2, rel. 28.2

# TaHI2
Simulated X-ray diffraction stick pattern, copper Kα. Input: a crystal structure in Alexandria, relaxed with PBE.
Intensities are scaled so that the largest is 100.

Atomic structure:
a b c (Å): 3.9000 7.0523 8.9485
angles (deg): 79.66 81.12 74.00
Fractional coordinates of all 8 atoms:
Ta1 0.0000 0.0000 0.0000
Ta2 0.3959 0.2802 0.8998
H1 0.5174 0.0020 0.9482
H2 0.9460 0.2211 0.8414
I1 0.2099 0.7256 0.7966
I2 0.5079 0.2715 0.5946
I3 0.7716 0.3702 0.1245
I4 0.9972 0.7999 0.2866

Largest 10 diffraction maxima, most intense first, 10 to 90 degrees two-theta:
- d = 8.749 Å, 2θ 10.1, rel. 100.0
- d = 3.574 Å, 2θ 24.9, rel. 32.9
- d = 3.680 Å, 2θ 24.2, rel. 32.7
- d = 3.444 Å, 2θ 25.9, rel. 27.2
- d = 2.174 Å, 2θ 41.5, rel. 25.4
- d = 2.101 Å, 2θ 43.1, rel. 21.4
- d = 5.738 Å, 2θ 15.4, rel. 19.7
- d = 1.946 Å, 2θ 46.7, rel. 19.4
- d = 3.354 Å, 2θ 26.6, rel. 18.9
- d = 2.828 Å, 2θ 31.6, rel. 17.4